V5P6WO24: simulated powder diffractogram (a wavelength of 1.5418 Å), based on a DFT-relaxed cell (PBE+U, Alexandria).
Peak positions follow from Bragg's law for the DFT cell and can differ from measured ones.

Atomic structure:
```
data_V5P6WO24
_chemical_formula_sum 'V15 P18 W3 O72'
_space_group_name_H-M_alt 'R 3'
_space_group_IT_number 146
_space_group_name_Hall 'R 3'
_cell_length_a 8.7028
_cell_length_b 8.7028
_cell_length_c 21.2209
_cell_angle_alpha 90.00
_cell_angle_beta 90.00
_cell_angle_gamma 120.00
loop_
_atom_site_label
_atom_site_type_symbol
_atom_site_fract_x
_atom_site_fract_y
_atom_site_fract_z
_atom_site_occupancy
V1 V 0.0000 0.0000 0.0000 1
V2 V 0.0000 0.0000 0.1406 1
V3 V 0.0000 0.0000 0.3548 1
V4 V 0.0000 0.0000 0.4984 1
V5 V 0.0000 0.0000 0.6401 1
P1 P 0.0034 0.7109 0.2469 1
P2 P 0.0375 0.3695 0.4124 1
W1 W 0.0000 0.0000 0.8533 1
O1 O 0.0069 0.1985 0.8075 1
O2 O 0.0155 0.8344 0.9178 1
O3 O 0.0207 0.1856 0.4224 1
O4 O 0.1382 0.6716 0.9739 1
O5 O 0.1392 0.6707 0.8538 1
O6 O 0.1431 0.4683 0.3552 1
O7 O 0.1640 0.6804 0.2413 1
O8 O 0.1657 0.4823 0.7410 1
```

Top 8 peaks for 2θ = 10–90°, in order of rising 2θ:
2θ 12.5, 7.095 Å, rel. 35.5, (0 0 3)
2θ 20.4, 4.348 Å, rel. 100.0, (1 1 0)
2θ 24.0, 3.706 Å, rel. 80.7, (1 1 3)
2θ 32.6, 2.745 Å, rel. 59.5, (2 -1 6)
2θ 35.7, 2.512 Å, rel. 40.4, (3 0 0)
2θ 46.8, 1.942 Å, rel. 25.9, (1 2 8)
2θ 49.2, 1.853 Å, rel. 22.3, (2 2 6)
2θ 55.9, 1.645 Å, rel. 23.6, (1 4 0)